LaTb6Pr8: theoretical X-ray diffraction stick pattern (copper Kα), based on a DFT-relaxed cell (PBE, Alexandria).

```
data_LaTb6Pr8
_chemical_formula_sum 'La3 Tb18 Pr24'
_space_group_name_H-M_alt 'R -3'
_space_group_IT_number 148
_space_group_name_Hall '-R 3'
_cell_length_a 9.2388
_cell_length_b 9.2388
_cell_length_c 21.2129
_cell_angle_alpha 90.00
_cell_angle_beta 90.00
_cell_angle_gamma 120.00
loop_
_atom_site_label
_atom_site_fract_x
_atom_site_fract_y
_atom_site_fract_z
_atom_site_occupancy
La1 0.0000 0.0000 0.0000 1
Tb1 0.0426 0.8013 0.7063 1
Pr1 0.0000 0.0000 0.4217 1
Pr2 0.0796 0.5213 0.8060 1
```

Largest 10 diffraction maxima, in order of rising 2θ, 2θ = 10–90°:
hkl 2 1 1, 29.8 deg, d = 2.994 Å, intensity 31
hkl 1 2 2, 30.7 deg, d = 2.909 Å, intensity 100
hkl 1 0 7, 31.6 deg, d = 2.834 Å, intensity 31
hkl 2 -1 6, 31.9 deg, d = 2.808 Å, intensity 14
hkl 3 -1 4, 34.1 deg, d = 2.627 Å, intensity 12
hkl 0 3 3, 36.0 deg, d = 2.495 Å, intensity 13
hkl 0 3 9, 51.8 deg, d = 1.766 Å, intensity 11
hkl 4 1 0, 52.4 deg, d = 1.746 Å, intensity 8
hkl 5 -2 4, 52.8 deg, d = 1.735 Å, intensity 11
hkl 4 1 3, 54.1 deg, d = 1.695 Å, intensity 11

La3Tb4Pr5: theoretical X-ray diffraction stick pattern (copper Kα), based on a DFT-relaxed cell (PBE, Alexandria).

```
data_La3Tb4Pr5
_chemical_formula_sum 'La3 Tb4 Pr5'
_space_group_name_H-M_alt 'P -1'
_space_group_IT_number 2
_space_group_name_Hall '-P 1'
_cell_length_a 6.3785
_cell_length_b 7.3163
_cell_length_c 9.0059
_cell_angle_alpha 89.86
_cell_angle_beta 89.84
_cell_angle_gamma 89.93
loop_
_atom_site_label
_atom_site_fract_x
_atom_site_fract_y
_atom_site_fract_z
_atom_site_occupancy
La1 0.0000 0.0000 0.0000 1
La2 0.1655 0.7468 0.3353 1
Tb1 0.1687 0.2525 0.3352 1
Tb2 0.3337 0.5011 0.6646 1
Pr1 0.0000 0.5000 0.0000 1
Pr2 0.3328 0.0004 0.6647 1
Pr3 0.4979 0.2524 0.9999 1
```

Largest 10 diffraction maxima, in order of rising 2θ, 2θ = 10–90°:
hkl 0 0 3, 29.8 deg, d = 3.003 Å, intensity 100
hkl 1 2 1, 29.8 deg, d = 2.994 Å, intensity 99
hkl 2 0 2, 34.4 deg, d = 2.606 Å, intensity 34
hkl 1 2 -2, 34.6 deg, d = 2.592 Å, intensity 67
hkl 3 2 0, 49.6 deg, d = 1.839 Å, intensity 24
hkl 3 -2 0, 49.6 deg, d = 1.836 Å, intensity 36
hkl 4 0 1, 58.8 deg, d = 1.571 Å, intensity 22
hkl 3 2 -3, 59.0 deg, d = 1.567 Å, intensity 29
hkl 0 4 3, 59.1 deg, d = 1.563 Å, intensity 29
hkl 4 0 -5, 80.5 deg, d = 1.193 Å, intensity 15

La4TbPr4: theoretical X-ray diffraction stick pattern (copper Kα), based on a DFT-relaxed cell (PBE, Alexandria).

```
data_La4TbPr4
_chemical_formula_sum 'La8 Tb2 Pr8'
_space_group_name_H-M_alt 'I 4/m m m'
_space_group_IT_number 139
_space_group_name_Hall '-I 4 2'
_cell_length_a 11.0937
_cell_length_b 11.0937
_cell_length_c 5.2731
_cell_angle_alpha 90.00
_cell_angle_beta 90.00
_cell_angle_gamma 90.00
loop_
_atom_site_label
_atom_site_fract_x
_atom_site_fract_y
_atom_site_fract_z
_atom_site_occupancy
La1 0.1659 0.1659 0.0000 1
Tb1 0.0000 0.0000 0.5000 1
Pr1 0.0000 0.3323 0.5000 1
```

Largest 10 diffraction maxima, in order of rising 2θ, 2θ = 10–90°:
hkl 3 0 1, 29.5 deg, d = 3.028 Å, intensity 100
hkl 0 0 2, 34.0 deg, d = 2.637 Å, intensity 17
hkl 3 3 0, 34.3 deg, d = 2.615 Å, intensity 34
hkl 3 3 2, 49.1 deg, d = 1.857 Å, intensity 24
hkl 6 0 0, 49.3 deg, d = 1.849 Å, intensity 12
hkl 3 0 3, 58.1 deg, d = 1.587 Å, intensity 15
hkl 6 3 1, 58.5 deg, d = 1.578 Å, intensity 29
hkl 6 0 2, 61.2 deg, d = 1.514 Å, intensity 13
hkl 6 3 3, 79.6 deg, d = 1.204 Å, intensity 12
hkl 9 0 1, 79.9 deg, d = 1.200 Å, intensity 6

La2Tb7Pr: theoretical X-ray diffraction stick pattern (copper Kα), based on a DFT-relaxed cell (PBE, Alexandria).

```
data_La2Tb7Pr
_chemical_formula_sum 'La4 Tb14 Pr2'
_space_group_name_H-M_alt 'C m m m'
_space_group_IT_number 65
_space_group_name_Hall '-C 2 2'
_cell_length_a 6.6462
_cell_length_b 29.2504
_cell_length_c 3.5157
_cell_angle_alpha 90.00
_cell_angle_beta 90.00
_cell_angle_gamma 90.00
loop_
_atom_site_label
_atom_site_fract_x
_atom_site_fract_y
_atom_site_fract_z
_atom_site_occupancy
La1 0.0000 0.2052 0.0000 1
Tb1 0.0000 0.0000 0.0000 1
Tb2 0.0000 0.3145 0.5000 1
Tb3 0.2465 0.4014 0.0000 1
Pr1 0.0000 0.5000 0.5000 1
```

Largest 10 diffraction maxima, in order of rising 2θ, 2θ = 10–90°:
hkl 1 1 1, 28.9 deg, d = 3.090 Å, intensity 24
hkl 2 4 0, 29.5 deg, d = 3.025 Å, intensity 39
hkl 0 10 0, 30.6 deg, d = 2.925 Å, intensity 46
hkl 0 6 1, 31.4 deg, d = 2.852 Å, intensity 21
hkl 2 6 0, 32.6 deg, d = 2.745 Å, intensity 100
hkl 2 4 1, 39.3 deg, d = 2.293 Å, intensity 19
hkl 0 10 1, 40.1 deg, d = 2.248 Å, intensity 14
hkl 3 5 1, 51.2 deg, d = 1.785 Å, intensity 14
hkl 0 10 2, 61.6 deg, d = 1.507 Å, intensity 13
hkl 2 6 2, 62.8 deg, d = 1.480 Å, intensity 14

La4Tb3Pr: theoretical X-ray diffraction stick pattern (copper Kα), based on a DFT-relaxed cell (PBE, Alexandria).

```
data_La4Tb3Pr
_chemical_formula_sum 'La8 Tb6 Pr2'
_space_group_name_H-M_alt 'P m n 21'
_space_group_IT_number 31
_space_group_name_Hall 'P 2ac -2'
_cell_length_a 11.8329
_cell_length_b 7.4087
_cell_length_c 6.4329
_cell_angle_alpha 90.00
_cell_angle_beta 90.00
_cell_angle_gamma 90.00
loop_
_atom_site_label
_atom_site_fract_x
_atom_site_fract_y
_atom_site_fract_z
_atom_site_occupancy
La1 0.0000 0.1276 0.0000 1
La2 0.0000 0.8710 0.5139 1
La3 0.2445 0.1245 0.3337 1
Tb1 0.0000 0.3792 0.5033 1
Tb2 0.2498 0.3788 0.8353 1
Pr1 0.0000 0.6260 0.0044 1
```

Largest 10 diffraction maxima, in order of rising 2θ, 2θ = 10–90°:
hkl 0 2 1, 27.8 deg, d = 3.212 Å, intensity 24
hkl 4 0 0, 30.2 deg, d = 2.958 Å, intensity 25
hkl 2 0 2, 31.7 deg, d = 2.823 Å, intensity 100
hkl 4 2 1, 41.5 deg, d = 2.176 Å, intensity 16
hkl 0 2 3, 49.1 deg, d = 1.856 Å, intensity 13
hkl 6 0 2, 54.6 deg, d = 1.681 Å, intensity 21
hkl 4 4 0, 58.8 deg, d = 1.571 Å, intensity 23
hkl 2 4 2, 59.7 deg, d = 1.549 Å, intensity 11
hkl 2 2 5, 80.8 deg, d = 1.190 Å, intensity 9
hkl 8 4 0, 83.6 deg, d = 1.156 Å, intensity 8

La3Tb8Pr: theoretical X-ray diffraction stick pattern (copper Kα), based on a DFT-relaxed cell (PBE, Alexandria).

```
data_La3Tb8Pr
_chemical_formula_sum 'La6 Tb16 Pr2'
_space_group_name_H-M_alt 'I m m m'
_space_group_IT_number 71
_space_group_name_Hall '-I 2 2'
_cell_length_a 6.4821
_cell_length_b 11.5597
_cell_length_c 11.6325
_cell_angle_alpha 90.00
_cell_angle_beta 90.00
_cell_angle_gamma 90.00
loop_
_atom_site_label
_atom_site_fract_x
_atom_site_fract_y
_atom_site_fract_z
_atom_site_occupancy
La1 0.0000 0.0000 0.0000 1
La2 0.0000 0.2487 0.5000 1
Tb1 0.0000 0.2502 0.1734 1
Tb2 0.2491 0.0000 0.2514 1
Pr1 0.0000 0.5000 0.0000 1
```

Largest 10 diffraction maxima, in order of rising 2θ, 2θ = 10–90°:
hkl 0 0 2, 15.2 deg, d = 5.816 Å, intensity 12
hkl 1 0 3, 26.8 deg, d = 3.328 Å, intensity 13
hkl 0 4 0, 31.0 deg, d = 2.886 Å, intensity 100
hkl 2 2 0, 31.6 deg, d = 2.828 Å, intensity 48
hkl 0 2 4, 34.5 deg, d = 2.598 Å, intensity 12
hkl 2 2 2, 35.3 deg, d = 2.543 Å, intensity 32
hkl 3 2 3, 50.9 deg, d = 1.794 Å, intensity 16
hkl 1 6 3, 55.1 deg, d = 1.667 Å, intensity 12
hkl 2 0 6, 55.2 deg, d = 1.664 Å, intensity 14
hkl 2 4 6, 64.6 deg, d = 1.442 Å, intensity 18

La4Tb3Pr5: theoretical X-ray diffraction stick pattern (copper Kα), based on a DFT-relaxed cell (PBE, Alexandria).

```
data_La4Tb3Pr5
_chemical_formula_sum 'La8 Tb6 Pr10'
_space_group_name_H-M_alt 'C 1 2/m 1'
_space_group_IT_number 12
_space_group_name_Hall '-C 2y'
_cell_length_a 16.6602
_cell_length_b 6.1094
_cell_length_c 9.5661
_cell_angle_alpha 90.00
_cell_angle_beta 116.68
_cell_angle_gamma 90.00
loop_
_atom_site_label
_atom_site_fract_x
_atom_site_fract_y
_atom_site_fract_z
_atom_site_occupancy
La1 0.0834 0.0000 0.4393 1
La2 0.2172 0.0000 0.8768 1
Tb1 0.0000 0.5000 0.0000 1
Tb2 0.2085 0.0000 0.2256 1
Pr1 0.0000 0.0000 0.0000 1
Pr2 0.0748 0.5000 0.7028 1
Pr3 0.1711 0.5000 0.3899 1
```

Largest 10 diffraction maxima, in order of rising 2θ, 2θ = 10–90°:
hkl 2 0 -3, 28.1 deg, d = 3.180 Å, intensity 33
hkl 3 1 1, 28.5 deg, d = 3.127 Å, intensity 34
hkl 0 2 0, 29.2 deg, d = 3.055 Å, intensity 100
hkl 4 0 1, 30.2 deg, d = 2.960 Å, intensity 42
hkl 5 1 -1, 30.7 deg, d = 2.911 Å, intensity 44
hkl 5 1 -2, 31.5 deg, d = 2.842 Å, intensity 82
hkl 1 1 -3, 32.7 deg, d = 2.738 Å, intensity 64
hkl 4 2 1, 42.5 deg, d = 2.126 Å, intensity 33
hkl 5 3 -2, 53.3 deg, d = 1.720 Å, intensity 31
hkl 6 2 -5, 58.4 deg, d = 1.580 Å, intensity 30

La7TbPr3: theoretical X-ray diffraction stick pattern (copper Kα), based on a DFT-relaxed cell (PBE, Alexandria).

```
data_La7TbPr3
_chemical_formula_sum 'La14 Tb2 Pr6'
_space_group_name_H-M_alt 'C 1 2/m 1'
_space_group_IT_number 12
_space_group_name_Hall '-C 2y'
_cell_length_a 13.0699
_cell_length_b 11.5751
_cell_length_c 6.1053
_cell_angle_alpha 90.00
_cell_angle_beta 117.61
_cell_angle_gamma 90.00
loop_
_atom_site_label
_atom_site_fract_x
_atom_site_fract_y
_atom_site_fract_z
_atom_site_occupancy
La1 0.0000 0.0000 0.0000 1
La2 0.1972 0.2931 0.6973 1
La3 0.2109 0.5000 0.2100 1
Tb1 0.0000 0.0000 0.5000 1
Pr1 0.0000 0.2914 0.0000 1
Pr2 0.0000 0.5000 0.5000 1
```

Largest 10 diffraction maxima, in order of rising 2θ, 2θ = 10–90°:
hkl 2 2 -1, 22.5 deg, d = 3.949 Å, intensity 9
hkl 1 3 0, 24.3 deg, d = 3.661 Å, intensity 18
hkl 2 0 -2, 29.3 deg, d = 3.053 Å, intensity 41
hkl 0 4 0, 30.9 deg, d = 2.894 Å, intensity 34
hkl 2 2 1, 31.5 deg, d = 2.842 Å, intensity 100
hkl 2 4 -2, 43.1 deg, d = 2.099 Å, intensity 21
hkl 0 2 3, 53.2 deg, d = 1.721 Å, intensity 11
hkl 6 2 -3, 53.4 deg, d = 1.717 Å, intensity 11
hkl 1 7 1, 60.1 deg, d = 1.540 Å, intensity 10
hkl 3 7 -1, 60.2 deg, d = 1.538 Å, intensity 10